Simulated X-ray powder pattern of Pa2MnMoN6 for Cu Kα, from a GGA-PBE-relaxed structure.

Main lines, in order of rising 2θ (5 to 70 degrees two-theta):
index	2θ/deg	I (rel.)
0 0 1	19.0	27
1 1 0	23.7	19
1 1 1	30.5	100
2 0 0	33.8	39
1 1 2	45.7	19
2 2 0	48.5	19
2 0 2	52.1	22
3 1 1	58.4	33

Atomic structure:
```
data_Pa2MnMoN6
_chemical_formula_sum 'Pa2 Mn1 Mo1 N6'
_cell_length_a 5.3080
_cell_length_b 5.3080
_cell_length_c 4.6769
_cell_angle_alpha 90.00
_cell_angle_beta 90.00
_cell_angle_gamma 90.00
_space_group_name_H-M_alt 'P 4 m m'
_space_group_IT_number 99
_space_group_name_Hall 'P 4 -2'
loop_
_atom_site_label
_atom_site_type_symbol
_atom_site_fract_x
_atom_site_fract_y
_atom_site_fract_z
_atom_site_occupancy
Pa1 Pa 0.0000 0.5000 0.0000 1
Mn1 Mn 0.0000 0.0000 0.6007 1
Mo1 Mo 0.5000 0.5000 0.5811 1
N1 N 0.0000 0.0000 0.2020 1
N2 N 0.2493 0.2493 0.7314 1
N3 N 0.5000 0.5000 0.1906 1
```